Diffraction record for Rb2CdNi3F12. The X-ray diffraction stick pattern is computed, not measured: it uses a crystal structure in Alexandria, relaxed with PBE+U and copper Kα.
Intensities are scaled so that the largest is 100.

Main lines, by angle (10 to 80 degrees two-theta):
2theta	I/Imax
14.71	29
24.08	23
28.33	38
28.46	100
28.72	57
29.66	51
45.16	33
45.33	17
49.31	52
49.96	32

Atomic structure:
```
data_Rb2CdNi3F12
_cell_length_a 7.3035
_cell_length_b 7.3035
_cell_length_c 7.3035
_cell_angle_alpha 60.81
_cell_angle_beta 60.81
_cell_angle_gamma 60.81
_symmetry_space_group_name_H-M 'P 1'
_symmetry_Int_Tables_number 1
_symmetry_space_group_name_Hall 'P 1'
loop_
_atom_site_label
_atom_site_type_symbol
_atom_site_fract_x
_atom_site_fract_y
_atom_site_fract_z
Rb1 Rb 0.1171 0.1171 0.1171
Rb2 Rb 0.8829 0.8829 0.8829
Cd1 Cd 0.5000 0.5000 0.5000
Ni1 Ni 0.0000 0.5000 0.5000
Ni2 Ni 0.5000 0.0000 0.5000
Ni3 Ni 0.5000 0.5000 0.0000
F1 F 0.1259 0.5989 0.5989
F2 F 0.1983 0.1983 0.5892
F3 F 0.1983 0.5892 0.1983
F4 F 0.4011 0.4011 0.8741
F5 F 0.4011 0.8741 0.4011
F6 F 0.4108 0.8017 0.8017
F7 F 0.5892 0.1983 0.1983
F8 F 0.5989 0.1259 0.5989
F9 F 0.5989 0.5989 0.1259
F10 F 0.8017 0.4108 0.8017
F11 F 0.8017 0.8017 0.4108
F12 F 0.8741 0.4011 0.4011
```